The following is a computed X-ray diffraction stick pattern of BeCo2Si. It was derived from a structure optimized by DFT (PBE), using Cu Ka.
Intensities are scaled so that the largest is 100.

The 10 most intense peaks (15 to 90 degrees two-theta), by intensity:
48.24 deg, d 1.886, I = 100
47.35 deg, d 1.920, I = 53
32.99 deg, d 2.715, I = 49
88.80 deg, d 1.102, I = 32
34.18 deg, d 2.623, I = 22
69.21 deg, d 1.357, I = 16
59.69 deg, d 1.549, I = 16
72.01 deg, d 1.311, I = 7
78.83 deg, d 1.214, I = 6
79.50 deg, d 1.206, I = 6

```
data_BeCo2Si
_chemical_formula_sum 'Be1 Co2 Si1'
_space_group_name_H-M_alt 'P 4/m m m'
_space_group_IT_number 123
_space_group_name_Hall '-P 4 2'
_cell_length_a 2.715
_cell_length_b 2.715
_cell_length_c 5.246
_cell_angle_alpha 90.00
_cell_angle_beta 90.00
_cell_angle_gamma 90.00
loop_
_atom_site_label
_atom_site_type_symbol
_atom_site_fract_x
_atom_site_fract_y
_atom_site_fract_z
_atom_site_occupancy
Be1 Be 0.000 0.000 0.000 1
Co1 Co 0.500 0.500 0.245 1
Si1 Si 0.000 0.000 0.500 1
```